Computed PXRD pattern of Ti3BiH3 for copper Kα, from DFT lattice parameters and positions (PBE).

Atomic structure:
```
Ti3BiH3
1.0
5.434 0.000 0.000
0.000 5.434 0.000
0.000 0.000 5.434
Ti Bi H
6 2 6
Direct
0.000 0.250 0.500
0.000 0.750 0.500
0.250 0.500 0.000
0.500 0.000 0.250
0.500 0.000 0.750
0.750 0.500 0.000
0.000 0.000 0.000
0.500 0.500 0.500
0.000 0.500 0.250
0.000 0.500 0.750
0.250 0.000 0.500
0.500 0.250 0.000
0.500 0.750 0.000
0.750 0.000 0.500
```

Most intense lines, 2θ from 10° to 90°, sorted by position:
2θ = 23.15°, d = 3.843 Å, I = 78, (1 1 0)
2θ = 32.96°, d = 2.717 Å, I = 44, (2 0 0)
2θ = 36.99°, d = 2.430 Å, I = 17, (2 1 0)
2θ = 40.67°, d = 2.219 Å, I = 100, (2 1 1)
2θ = 53.31°, d = 1.718 Å, I = 19, (3 1 0)
2θ = 64.12°, d = 1.452 Å, I = 52, (3 2 1)